# 1
This entry pairs a crystal structure of Cu7Ag with its simulated powder diffraction line list. Radiation: CuKα. Structure: a crystal structure in OQMD, relaxed with PBE.
Intensities are scaled so that the largest is 100.

Most intense lines, 2θ = 10–80°, most intense first:
- 42.74 deg, rel. 100, (3 -1 1)
- 49.81 deg, rel. 31, (2 -4 2)
- 73.02 deg, rel. 18, (3 -3 5)
- 49.66 deg, rel. 16, (1 1 3)
- 73.18 deg, rel. 4, (1 5 -5)
- 72.89 deg, rel. 4, (-1 5 1)

```
data_Cu7Ag
_chemical_formula_sum 'Cu28 Ag4'
_cell_length_a 6.852
_cell_length_b 7.772
_cell_length_c 8.589
_cell_angle_alpha 113.52
_cell_angle_beta 96.48
_cell_angle_gamma 104.68
_symmetry_space_group_name_H-M 'P 1'
_symmetry_Int_Tables_number 1
_symmetry_space_group_name_Hall 'P 1'
loop_
_atom_site_label
_atom_site_type_symbol
_atom_site_fract_x
_atom_site_fract_y
_atom_site_fract_z
_atom_site_occupancy
Cu1 Cu 0.000 0.000 0.000 1
Cu2 Cu 0.000 0.495 0.488 1
Cu3 Cu 0.058 0.368 0.188 1
Cu4 Cu 0.067 0.874 0.682 1
Cu5 Cu 0.117 0.232 0.862 1
Cu6 Cu 0.129 0.750 0.379 1
Cu7 Cu 0.189 0.111 0.552 1
Cu8 Cu 0.256 0.001 0.252 1
Cu9 Cu 0.318 0.371 0.430 1
Cu10 Cu 0.323 0.879 0.932 1
Cu11 Cu 0.380 0.752 0.618 1
Cu12 Cu 0.442 0.118 0.799 1
Cu13 Cu 0.453 0.632 0.318 1
Cu14 Cu 0.503 0.993 0.491 1
Cu15 Cu 0.526 0.504 0.995 1
Cu16 Cu 0.565 0.356 0.673 1
Cu17 Cu 0.576 0.882 0.188 1
Cu18 Cu 0.628 0.758 0.876 1
Cu19 Cu 0.637 0.249 0.374 1
Cu20 Cu 0.684 0.620 0.552 1
Cu21 Cu 0.698 0.122 0.060 1
Cu22 Cu 0.751 0.991 0.743 1
Cu23 Cu 0.764 0.505 0.248 1
Cu24 Cu 0.809 0.358 0.932 1
Cu25 Cu 0.818 0.872 0.435 1
Cu26 Cu 0.872 0.232 0.615 1
Cu27 Cu 0.878 0.757 0.132 1
Cu28 Cu 0.945 0.124 0.312 1
Ag1 Ag 0.197 0.621 0.069 1
Ag2 Ag 0.259 0.489 0.738 1
Ag3 Ag 0.383 0.253 0.119 1
Ag4 Ag 0.929 0.621 0.806 1
```


# 2
This entry pairs a crystal structure of GdErGa2Pt4 with its simulated powder diffraction line list. Radiation: CuKα. Structure: a crystal structure in OQMD, relaxed with PBE.
Intensities are scaled so that the largest is 100.

Most intense lines, 2θ = 10–80°, most intense first:
- 38.27 deg, rel. 100, (2 0 0)
- 69.23 deg, rel. 24, (3 1 2)
- 69.12 deg, rel. 12, (2 0 4)
- 55.30 deg, rel. 12, (2 2 0)
- 26.81 deg, rel. 7, (1 1 0)
- 55.13 deg, rel. 6, (0 0 4)
- 23.16 deg, rel. 5, (1 0 1)
- 45.21 deg, rel. 2, (2 1 1)
- 47.34 deg, rel. 2, (2 0 2)
- 62.49 deg, rel. 2, (3 1 0)

```
data_GdErGa2Pt4
_chemical_formula_sum 'Gd1 Er1 Ga2 Pt4'
_cell_length_a 4.699
_cell_length_b 4.699
_cell_length_c 6.664
_cell_angle_alpha 90.00
_cell_angle_beta 90.00
_cell_angle_gamma 90.00
_symmetry_space_group_name_H-M 'P 4/m m m'
_symmetry_Int_Tables_number 123
_symmetry_space_group_name_Hall '-P 4 2'
loop_
_atom_site_label
_atom_site_type_symbol
_atom_site_fract_x
_atom_site_fract_y
_atom_site_fract_z
_atom_site_occupancy
Gd1 Gd 0.000 0.000 0.000 1
Er1 Er 0.500 0.500 0.500 1
Ga1 Ga 0.000 0.000 0.500 1
Ga2 Ga 0.500 0.500 0.000 1
Pt1 Pt 0.000 0.500 0.255 1
```


# 3
This entry pairs a crystal structure of Er2In4CoCu with its simulated powder diffraction line list. Radiation: CuKα. Structure: a crystal structure in OQMD, relaxed with PBE.
Intensities are scaled so that the largest is 100.

Most intense lines, 2θ = 10–80°, most intense first:
- 33.01 deg, rel. 100, (2 1 1)
- 35.17 deg, rel. 47, (1 1 3)
- 41.72 deg, rel. 27, (0 2 0)
- 36.38 deg, rel. 22, (1 0 4)
- 40.54 deg, rel. 21, (3 0 2)
- 41.25 deg, rel. 15, (2 1 3)
- 59.57 deg, rel. 13, (3 2 2)
- 66.00 deg, rel. 13, (0 1 7)
- 62.00 deg, rel. 13, (3 1 5)
- 56.52 deg, rel. 12, (1 2 4)

```
data_Er2In4CoCu
_chemical_formula_sum 'Er4 In8 Co2 Cu2'
_cell_length_a 7.374
_cell_length_b 4.330
_cell_length_c 10.484
_cell_angle_alpha 90.00
_cell_angle_beta 90.00
_cell_angle_gamma 90.00
_symmetry_space_group_name_H-M 'A m m 2'
_symmetry_Int_Tables_number 38
_symmetry_space_group_name_Hall 'A 2 -2'
loop_
_atom_site_label
_atom_site_type_symbol
_atom_site_fract_x
_atom_site_fract_y
_atom_site_fract_z
_atom_site_occupancy
Er1 Er 0.000 0.000 0.000 1
Er2 Er 0.500 0.000 0.138 1
In1 In 0.204 0.000 0.712 1
In2 In 0.302 0.000 0.429 1
Co1 Co 0.500 0.000 0.860 1
Cu1 Cu 0.000 0.000 0.283 1
```


# 4
This entry pairs a crystal structure of SmBe2P2 with its simulated powder diffraction line list. Radiation: CuKα. Structure: a crystal structure in OQMD, relaxed with PBE.
Intensities are scaled so that the largest is 100.

Most intense lines, 2θ = 10–80°, most intense first:
- 33.69 deg, rel. 100, (1 0 3)
- 14.82 deg, rel. 64, (0 0 2)
- 26.02 deg, rel. 55, (1 0 1)
- 35.53 deg, rel. 41, (1 1 0)
- 38.69 deg, rel. 38, (1 1 2)
- 62.63 deg, rel. 32, (2 1 3)
- 45.66 deg, rel. 29, (1 0 5)
- 70.90 deg, rel. 24, (2 1 5)
- 51.12 deg, rel. 18, (2 0 0)
- 59.04 deg, rel. 18, (1 1 6)

```
data_SmBe2P2
_chemical_formula_sum 'Sm2 Be4 P4'
_cell_length_a 3.574
_cell_length_b 3.574
_cell_length_c 11.954
_cell_angle_alpha 90.00
_cell_angle_beta 90.00
_cell_angle_gamma 90.00
_symmetry_space_group_name_H-M 'I 4/m m m'
_symmetry_Int_Tables_number 139
_symmetry_space_group_name_Hall '-I 4 2'
loop_
_atom_site_label
_atom_site_type_symbol
_atom_site_fract_x
_atom_site_fract_y
_atom_site_fract_z
_atom_site_occupancy
Sm1 Sm 0.000 0.000 0.000 1
Be1 Be 0.000 0.500 0.250 1
P1 P 0.000 0.000 0.360 1
```